Simulated PXRD pattern of NiBi2F8 for Cu Kα, 1.54184 Å, from a cell relaxed with PBE+U.
Intensities are scaled so that the largest is 100.

Crystal structure
```
data_NiBi2F8
_symmetry_space_group_name_H-M 'C 1 2/m 1'
_symmetry_Int_Tables_number 12
_cell_length_a 15.794
_cell_length_b 3.530
_cell_length_c 5.856
_cell_angle_alpha 90.00
_cell_angle_beta 90.45
_cell_angle_gamma 90.00
loop_
_symmetry_equiv_pos_as_xyz
'x,y,z'
'-x,-y,-z'
'-x,y,-z'
'x,-y,z'
'x+1/2,y+1/2,z'
'-x+1/2,-y+1/2,-z'
'-x+1/2,y+1/2,-z'
'x+1/2,-y+1/2,z'
loop_
_atom_site_label
_atom_site_fract_x
_atom_site_fract_y
_atom_site_fract_z
Ni1 0.000 0.000 0.000
Bi1 0.155 0.500 0.329
F1 0.012 0.500 0.211
F2 0.102 0.000 0.523
F3 0.125 0.000 0.045
F4 0.235 0.500 0.675
```

Top 8 peaks for 2θ from 10° to 80°, sorted by position:
18.79°, rel. 100, (2 0 -1)
27.34°, rel. 29, (4 0 1)
30.11°, rel. 49, (1 1 1)
30.49°, rel. 42, (3 1 0)
32.70°, rel. 19, (2 0 2)
34.10°, rel. 30, (6 0 0)
40.39°, rel. 37, (1 1 -2)
41.25°, rel. 25, (5 1 -1)